Record 1
Y2Be3GaIr4: simulated XRD peak list (Cu Kα X-rays), based on a DFT-relaxed cell (GGA-PBE, Alexandria).
Peak positions follow from Bragg's law for the DFT cell and can differ from measured ones.

Peak list (10 most intense, 10° ≤ 2θ ≤ 80°, low angle first)
h k l, two_theta, I (rel.)
0 0 3, 28.3, 309
1 0 2, 28.9, 566
1 1 1, 32.4, 671
1 0 3, 36.0, 246
1 1 2, 36.4, 1000
2 0 0, 44.3, 665
1 1 4, 49.8, 336
2 0 3, 53.4, 407
2 2 3, 71.8, 245
3 1 2, 76.3, 301

Atomic structure:
```
10
Lattice="4.0900 0.0000 0.0000 0.0000 4.0900 0.0000 0.0000 0.0000 9.4523" Properties=species:S:1:pos:R:3 pbc="T T T"
Y 0.0000 2.0450 2.2052
Y 2.0450 0.0000 7.2471
Be 0.0000 2.0450 8.4052
Be 2.0450 0.0000 1.0470
Be 2.0450 2.0450 4.7261
Ga 0.0000 0.0000 4.7261
Ir 0.0000 0.0000 0.0000
Ir 0.0000 2.0450 6.0805
Ir 2.0450 0.0000 3.3718
Ir 2.0450 2.0450 0.0000
```


Record 2
KBeGa3: simulated XRD peak list (Cu Kα X-rays), based on a DFT-relaxed cell (GGA-PBE, Alexandria).
Peak positions follow from Bragg's law for the DFT cell and can differ from measured ones.

Peak list (10 most intense, 10° ≤ 2θ ≤ 80°, low angle first)
h k l, two_theta, I (rel.)
1 0 0, 18.5, 68
1 1 0, 26.3, 24
1 1 1, 32.4, 1000
2 0 0, 37.6, 545
2 1 0, 42.2, 35
2 1 1, 46.5, 14
2 2 0, 54.2, 361
3 0 0, 57.8, 18
3 1 1, 64.6, 378
2 2 2, 67.8, 119

Atomic structure:
```
5
Lattice="4.7852 0.0000 0.0000 0.0000 4.7852 0.0000 0.0000 0.0000 4.7852" Properties=species:S:1:pos:R:3 pbc="T T T"
K 0.0000 0.0000 0.0000
Be 2.3926 2.3926 2.3926
Ga 0.0000 2.3926 2.3926
Ga 2.3926 0.0000 2.3926
Ga 2.3926 2.3926 0.0000
```